Structure and computed powder diffraction line list of LiSbPt (the GGA-PBE geometry in Alexandria; copper Kα).
Lines closer than 0.1° are merged.

Atomic structure:
```
LiSbPt
1.0
4.576 0.000 0.000
-2.288 3.963 0.000
0.000 0.000 3.069
Li Sb Pt
1 1 1
direct
0.000 0.000 0.000
0.667 0.333 0.500
0.333 0.667 0.500
```

Main lines, most intense first (2θ = 5–70°):
2θ/deg	d [Å]	intensity
22.4	3.963	100.0
39.4	2.288	89.8
49.7	1.834	86.4
29.1	3.069	62.9
37.0	2.426	62.8
55.2	1.665	20.2


Structure and computed powder diffraction line list of ThAsS4Cl (the GGA-PBE geometry in Alexandria; copper Kα).
Lines closer than 0.1° are merged.

Atomic structure:
```
ThAsS4Cl
1.0
5.550 -4.479 0.000
5.550 4.479 0.000
-2.072 0.000 7.916
Th As S Cl
2 2 8 2
direct
0.213 0.213 0.120
0.787 0.787 0.880
0.357 0.357 0.719
0.643 0.643 0.281
0.142 0.501 0.899
0.213 0.213 0.484
0.456 0.456 0.310
0.499 0.858 0.101
0.501 0.142 0.899
0.544 0.544 0.690
0.787 0.787 0.516
0.858 0.499 0.101
0.023 0.023 0.811
0.977 0.977 0.189
```

Main lines, most intense first (2θ = 5–70°):
2θ/deg	d [Å]	intensity
19.8	4.479	100.0
11.2	7.916	76.7
16.5	5.369	57.4
24.1	3.700	56.6
22.2	3.998	48.9
15.6	5.667	44.3


Structure and computed powder diffraction line list of Tb2Ni15Ir2 (the GGA-PBE geometry in Alexandria; copper Kα).
Lines closer than 0.1° are merged.

Atomic structure:
```
Tb2Ni15Ir2
1.0
4.174 2.410 4.100
-4.174 2.410 4.100
0.000 -4.820 4.100
Tb Ni Ir
2 15 2
direct
0.157 0.157 0.157
0.843 0.843 0.843
0.000 0.500 0.500
0.154 0.154 0.657
0.154 0.657 0.154
0.204 0.500 0.796
0.204 0.796 0.500
0.343 0.846 0.846
0.500 0.000 0.500
0.500 0.204 0.796
0.500 0.500 0.000
0.500 0.796 0.204
0.657 0.154 0.154
0.796 0.204 0.500
0.796 0.500 0.204
0.846 0.343 0.846
0.846 0.846 0.343
0.398 0.398 0.398
0.602 0.602 0.602
```

Main lines, most intense first (2θ = 5–70°):
2θ/deg	d [Å]	intensity
43.4	2.087	100.0
37.3	2.410	84.4
43.6	2.078	76.8
38.4	2.342	58.3
44.3	2.043	47.7
21.3	4.174	47.5


Structure and computed powder diffraction line list of Sc5Zn2Sb (the GGA-PBE geometry in Alexandria; copper Kα).
Lines closer than 0.1° are merged.

Atomic structure:
```
Sc5Zn2Sb
1.0
-3.773 3.773 6.004
3.773 -3.773 6.004
3.773 3.773 -6.004
Sc Zn Sb
10 4 2
direct
0.000 0.000 0.000
0.008 0.508 0.809
0.200 0.008 0.500
0.300 0.800 0.809
0.492 0.300 0.500
0.500 0.500 0.000
0.508 0.700 0.500
0.700 0.200 0.191
0.800 0.992 0.500
0.992 0.492 0.191
0.138 0.362 0.500
0.362 0.862 0.225
0.638 0.138 0.775
0.862 0.638 0.500
0.250 0.250 0.000
0.750 0.750 0.000
```

Main lines, most intense first (2θ = 5–70°):
2θ/deg	d [Å]	intensity
34.8	2.580	100.0
37.7	2.386	84.8
22.3	3.988	40.6
38.3	2.349	27.2
34.3	2.616	22.5
33.6	2.668	18.5